Computed powder diffraction line list of RbPm3Cl8 for Cu Kα, from a GGA-PBE-relaxed structure.
No peak broadening, texture or thermal motion is included.

Atomic structure:
Lattice parameters (Å, degrees): 7.7752 7.7752 25.0720 90.00 90.00 120.00
Space group R-3m (No. 166, hexagonal axes)
Asymmetric unit:
Rb 0.0000 0.0000 0.0000
Pm 0.0000 0.5000 0.5000
Cl 0.0000 0.0000 0.2371
Cl 0.0018 0.5009 0.7679

Principal peaks in the range 2θ from 5° to 70°, low angle first:
10.6 deg, 8.357 Å, I = 100, (0 0 3); 13.6 deg, 6.503 Å, I = 47, (1 0 1); 25.3 deg, 3.525 Å, I = 24, (1 1 3); 30.1 deg, 2.966 Å, I = 82, (0 2 4); 39.3 deg, 2.294 Å, I = 32, (2 0 8); 46.7 deg, 1.944 Å, I = 24, (2 2 0)

Computed powder diffraction line list of V5Si6W5 for Cu Kα, from a GGA-PBE-relaxed structure.
No peak broadening, texture or thermal motion is included.

Atomic structure:
Lattice parameters (Å, degrees): 13.4218 4.9500 9.4723 90.00 134.79 90.00
Space group Cm (No. 8)
Asymmetric unit:
V 0.0000 0.0000 0.0000
V 0.0007 0.5000 0.8530
V 0.0514 0.0000 0.5502
V 0.0533 0.5000 0.4066
V 0.2024 0.5000 0.8550
Si 0.1048 0.5000 0.1991
Si 0.1056 0.0000 0.8638
Si 0.2754 0.2520 0.7052
Si 0.4452 0.5000 0.2016
Si 0.4517 0.0000 0.5457
W 0.2024 0.0000 0.4054
W 0.2762 0.2500 0.2023
W 0.3506 0.0000 0.0021
W 0.3515 0.5000 0.5541

Principal peaks in the range 2θ from 5° to 70°, low angle first:
13.2 deg, 6.719 Å, I = 89, (0 0 1); 18.6 deg, 4.763 Å, I = 94, (2 0 0); 27.7 deg, 3.226 Å, I = 81, (3 1 -1); 41.1 deg, 2.194 Å, I = 91, (2 2 -2); 43.2 deg, 2.093 Å, I = 82, (3 1 1); 45.5 deg, 1.992 Å, I = 100, (0 2 2)